Starting from a PBE+U-relaxed structure, the X-ray diffraction stick pattern of LiZnCr2O4 was computed for Cu Kα, 1.54184 Å.
No peak broadening, texture or thermal motion is included.

Peak list (10 most intense, 2θ from 10° to 90°, low angle first)
2θ 20.91, I = 22; 2θ 23.17, I = 47; 2θ 29.35, I = 20; 2θ 36.31, I = 70; 2θ 41.99, I = 100; 2θ 42.56, I = 47; 2θ 60.89, I = 28; 2θ 61.32, I = 55; 2θ 73.01, I = 19; 2θ 77.11, I = 25

Crystal structure
```
LiZnCr2O4
1.0
-2.152 2.152 4.249
2.152 -2.152 4.249
2.152 2.152 -4.249
Li Zn Cr O
1 1 2 4
direct
0.000 0.000 0.000 Li
0.250 0.750 0.500 Zn
0.500 0.500 0.000 Cr
0.750 0.250 0.500 Cr
0.260 0.260 0.000 O
0.507 0.007 0.500 O
0.740 0.740 0.000 O
0.993 0.493 0.500 O
```